Diffraction record for Er4CdCo2. The PXRD pattern is simulated, not measured: it uses a PBE-relaxed structure and Cu Kα (λ = 1.5418 Å).
Neutral-atom scattering factors, no anomalous dispersion.

Top 6 peaks for 2θ = 10–90°, low angle first:
2θ (°)	I (rel.)	h k l
31.3	38	0 2 -2
32.2	100	1 0 2
32.6	40	0 1 2
34.0	38	2 1 -2
34.9	44	2 -2 0
40.5	48	1 -3 0

Structural model:
Unit cell a=6.859 b=7.034 c=7.372 alpha=105.31 beta=102.36 gamma=95.75
Space group P1 (No. 1)
Symmetry-distinct sites (fractional):
Er: 0.000 0.000 0.000 x1
Er: 0.010 0.569 0.667 x1
Er: 0.474 0.723 0.324 x1
Er: 0.494 0.043 0.802 x1
Er: 0.540 0.543 0.751 x1
Er: 0.609 0.211 0.319 x1
Er: 0.899 0.551 0.122 x1
Er: 0.983 0.008 0.497 x1
Cd: 0.200 0.346 0.363 x1
Cd: 0.243 0.372 0.955 x1
Co: 0.327 0.782 0.984 x1
Co: 0.676 0.867 0.102 x1
Co: 0.748 0.825 0.654 x1
Co: 0.814 0.255 0.750 x1